Calculated powder XRD pattern
Compound: GePbO3
Radiation: Cu Kα (λ = 1.5418 Å)
Structure: a DFT-relaxed cell (GGA-PBE, the Materials Project)
Neutral-atom scattering factors, no anomalous dispersion.

Cell and atoms:
abc: 3.888 3.888 3.888
angles: 90.00 90.00 90.00
Atoms (fractional coordinates):
Ge 0.000 0.000 0.000
Pb 0.500 0.500 0.500
O 0.000 0.000 0.500
O 0.000 0.500 0.000
O 0.500 0.000 0.000

Peak list (6 most intense, 10 to 80 degrees two-theta, sorted by position)
h k l	2θ (°)	intensity
1 0 0	22.87	20.5
1 1 0	32.57	100.0
2 0 0	46.72	28.3
2 1 1	58.11	40.1
2 2 0	68.22	17.6
3 1 0	77.65	17.9